Diffraction record for Li4Mn3FeB4O12. The XRD peak list is computed, not measured: it uses a DFT-relaxed cell (GGA+U, the Materials Project) and Cu Kα (λ = 1.5418 Å).
No peak broadening, texture or thermal motion is included.

Peak list (8 most intense, 2θ = 10–90°, low angle first)
20.39°, rel. 80, (1 -1 1)
22.08°, rel. 33, (0 1 -2)
22.51°, rel. 60, (-1 1 1)
33.26°, rel. 100, (0 2 0)
33.98°, rel. 33, (1 0 -3)
34.66°, rel. 29, (1 -1 3)
40.03°, rel. 25, (0 1 -4)
40.73°, rel. 54, (2 0 -2)

Structure:
```
data_Li4Mn3FeB4O12
_chemical_formula_sum 'Li4 Mn3 Fe1 B4 O12'
_symmetry_space_group_name_H-M 'P 1'
_symmetry_Int_Tables_number 1
_cell_length_a 5.2434
_cell_length_b 6.2363
_cell_length_c 9.0520
_cell_angle_alpha 105.81
_cell_angle_beta 91.29
_cell_angle_gamma 114.66
loop_
_symmetry_equiv_pos_as_xyz
'x,y,z'
loop_
_atom_site_label
_atom_site_fract_x
_atom_site_fract_y
_atom_site_fract_z
Li1 0.0000 0.0000 0.0000
Li2 0.0271 0.6573 0.7649
Li3 0.5007 0.0014 0.4990
Li4 0.5285 0.6588 0.2635
Mn1 0.0647 0.0954 0.6842
Mn2 0.4643 0.5640 0.5784
Mn3 0.5656 0.0995 0.1842
Fe1 0.9719 0.5646 0.0800
B1 0.0522 0.0662 0.3458
B2 0.4745 0.5891 0.9172
B3 0.5539 0.0692 0.8471
B4 0.9777 0.5933 0.4150
O1 0.1382 0.0043 0.2024
O2 0.2468 0.1554 0.4824
O3 0.2538 0.6267 0.4061
O4 0.2762 0.0322 0.8566
O5 0.2839 0.5041 0.7797
O6 0.3817 0.6479 0.0597
O7 0.6382 0.0057 0.7030
O8 0.7492 0.1591 0.9833
O9 0.7516 0.6250 0.9120
O10 0.7755 0.0320 0.3553
O11 0.7854 0.5076 0.2776
O12 0.8903 0.6525 0.5586
```